Record 1
Calculated X-ray diffraction stick pattern of SrLi2NiH6 for CuKα, from a PBE-relaxed structure.

Crystal structure
Cell lengths 4.1959, 4.1959, 7.1367 Å; angles 109.07, 109.07, 63.85 degrees
Atoms (fractional coordinates):
Sr (0.0000, 0.0000, 0.0000)
Li (0.1994, 0.1994, 0.6230)
Li (0.8006, 0.8006, 0.3770)
Ni (0.5000, 0.5000, 0.5000)
H (0.2046, 0.6848, 0.6227)
H (0.2938, 0.2938, 0.8987)
H (0.3152, 0.7954, 0.3773)
H (0.6848, 0.2046, 0.6227)
H (0.7062, 0.7062, 0.1013)
H (0.7954, 0.3152, 0.3773)

Top 6 peaks for 15 to 90 degrees two-theta, sorted by position:
2theta  d/Å  I (rel.)
25.1  3.554  100
27.1  3.290  94
30.1  2.966  38
30.3  2.952  78
43.2  2.092  55
49.5  1.840  33

=====

Record 2
Calculated X-ray diffraction stick pattern of PtRh for CuKα, from a PBE-relaxed structure.

Crystal structure
Cell lengths 4.7583, 4.5584, 5.5297 Å; angles 90.00, 90.00, 90.00 degrees
Atoms (fractional coordinates):
Pt (0.0834, 0.2500, 0.1246)
Pt (0.4166, 0.7500, 0.6246)
Pt (0.5834, 0.2500, 0.3754)
Pt (0.9166, 0.7500, 0.8754)
Rh (0.0828, 0.2500, 0.6260)
Rh (0.4172, 0.7500, 0.1260)
Rh (0.5828, 0.2500, 0.8740)
Rh (0.9172, 0.7500, 0.3740)

Top 6 peaks for 15 to 90 degrees two-theta, sorted by position:
2theta  d/Å  I (rel.)
37.6  2.391  24
39.5  2.279  41
42.7  2.117  100
42.9  2.109  49
73.9  1.282  20
81.8  1.178  20